# K2TbI4
Simulated PXRD pattern, a wavelength of 1.5418 Å. Input: a crystal structure in Alexandria, relaxed with GGA-PBE.

The 10 most intense peaks (2θ from 15° to 90°), low angle first:
| 2θ (°) | I (rel.) | (hkl) |
| --- | --- | --- |
| 15.48 | 82 | 1 0 1 |
| 20.81 | 26 | 1 1 0 |
| 23.06 | 41 | 1 1 2 |
| 28.86 | 77 | 1 0 5 |
| 29.60 | 100 | 2 0 0 |
| 29.79 | 42 | 0 0 6 |
| 41.83 | 35 | 2 1 5 |
| 42.35 | 37 | 2 2 0 |
| 42.49 | 63 | 2 0 6 |
| 52.64 | 33 | 2 2 6 |

Atomic structure:
```
data_K2TbI4
_chemical_formula_sum 'K4 Tb2 I8'
_space_group_name_H-M_alt 'I 4/m m m'
_space_group_IT_number 139
_space_group_name_Hall '-I 4 2'
_cell_length_a 6.036
_cell_length_b 6.036
_cell_length_c 17.995
_cell_angle_alpha 90.00
_cell_angle_beta 90.00
_cell_angle_gamma 90.00
loop_
_atom_site_label
_atom_site_fract_x
_atom_site_fract_y
_atom_site_fract_z
_atom_site_occupancy
K1 0.000 0.000 0.135 1
Tb1 0.000 0.000 0.500 1
I1 0.000 0.000 0.328 1
I2 0.000 0.500 0.000 1
```

# K2TbI5
Simulated PXRD pattern, a wavelength of 1.5418 Å. Input: a crystal structure in Alexandria, relaxed with GGA-PBE.

The 10 most intense peaks (2θ from 15° to 90°), low angle first:
| 2θ (°) | I (rel.) | (hkl) |
| --- | --- | --- |
| 23.44 | 33 | 2 1 1 |
| 24.37 | 99 | 2 0 2 |
| 27.78 | 26 | 0 0 2 |
| 28.43 | 100 | 2 2 2 |
| 31.72 | 49 | 2 2 3 |
| 34.46 | 44 | 0 2 3 |
| 37.17 | 29 | 3 2 2 |
| 40.16 | 36 | 2 2 0 |
| 40.63 | 36 | 4 0 2 |
| 47.12 | 28 | 0 2 -2 |

Atomic structure:
```
data_K2TbI5
_chemical_formula_sum 'K2 Tb1 I5'
_space_group_name_H-M_alt 'P 1'
_space_group_IT_number 1
_cell_length_a 8.880
_cell_length_b 8.882
_cell_length_c 8.981
_cell_angle_alpha 60.39
_cell_angle_beta 60.38
_cell_angle_gamma 90.00
loop_
_space_group_symop_operation_xyz
'x,y,z'
loop_
_atom_site_label
_atom_site_fract_x
_atom_site_fract_y
_atom_site_fract_z
_atom_site_occupancy
K1 0.000 0.000 0.000 1
K2 0.500 0.500 0.000 1
Tb1 0.320 0.820 0.361 1
I1 0.096 0.597 0.808 1
I2 0.142 0.109 0.249 1
I3 0.142 0.642 0.250 1
I4 0.609 0.109 0.249 1
I5 0.609 0.642 0.249 1
```

# K2TeI5
Simulated PXRD pattern, a wavelength of 1.5418 Å. Input: a crystal structure in Alexandria, relaxed with GGA-PBE.

The 10 most intense peaks (2θ from 15° to 90°), low angle first:
| 2θ (°) | I (rel.) | (hkl) |
| --- | --- | --- |
| 17.34 | 52 | 0 0 2 |
| 26.71 | 100 | 2 0 2 |
| 28.06 | 23 | 1 0 3 |
| 28.67 | 94 | 2 2 0 |
| 33.70 | 39 | 2 2 2 |
| 35.08 | 20 | 0 0 4 |
| 41.00 | 34 | 4 0 0 |
| 45.92 | 36 | 2 2 4 |
| 49.61 | 32 | 4 2 2 |
| 55.04 | 20 | 4 0 4 |

Atomic structure:
```
data_K2TeI5
_chemical_formula_sum 'K4 Te2 I10'
_space_group_name_H-M_alt 'I 4 m m'
_space_group_IT_number 107
_space_group_name_Hall 'I 4 -2'
_cell_length_a 8.806
_cell_length_b 8.806
_cell_length_c 10.231
_cell_angle_alpha 90.00
_cell_angle_beta 90.00
_cell_angle_gamma 90.00
loop_
_atom_site_label
_atom_site_fract_x
_atom_site_fract_y
_atom_site_fract_z
_atom_site_occupancy
K1 0.000 0.500 0.000 1
Te1 0.000 0.000 0.231 1
I1 0.000 0.000 0.539 1
I2 0.239 0.239 0.224 1
```

# K3ThI7
Simulated PXRD pattern, a wavelength of 1.5418 Å. Input: a crystal structure in Alexandria, relaxed with GGA-PBE.

The 10 most intense peaks (2θ from 15° to 90°), low angle first:
| 2θ (°) | I (rel.) | (hkl) |
| --- | --- | --- |
| 19.59 | 53 | 0 2 1 |
| 21.39 | 63 | 2 2 -1 |
| 24.28 | 56 | 3 1 -2 |
| 28.18 | 49 | 0 2 2 |
| 28.95 | 75 | 4 0 -2 |
| 30.03 | 79 | 1 3 1 |
| 30.40 | 54 | 1 1 2 |
| 30.67 | 100 | 2 2 1 |
| 31.84 | 59 | 0 4 0 |
| 37.97 | 52 | 3 3 -3 |

Atomic structure:
```
data_K3ThI7
_chemical_formula_sum 'K6 Th2 I14'
_space_group_name_H-M_alt 'C 1 m 1'
_space_group_IT_number 8
_cell_length_a 12.398
_cell_length_b 11.242
_cell_length_c 9.397
_cell_angle_alpha 90.00
_cell_angle_beta 125.36
_cell_angle_gamma 90.00
loop_
_space_group_symop_operation_xyz
'x,y,z'
'x,-y,z'
'x+1/2,y+1/2,z'
'x+1/2,-y+1/2,z'
loop_
_atom_site_label
_atom_site_fract_x
_atom_site_fract_y
_atom_site_fract_z
_atom_site_occupancy
K1 0.000 0.000 0.000 1
K2 0.006 0.282 0.591 1
Th1 0.062 0.500 0.149 1
I1 0.124 0.242 0.316 1
I2 0.202 0.500 0.960 1
I3 0.363 0.000 0.252 1
I4 0.364 0.175 0.839 1
I5 0.368 0.500 0.507 1
```

# KTl2I4
Simulated PXRD pattern, a wavelength of 1.5418 Å. Input: a crystal structure in Alexandria, relaxed with GGA-PBE.

The 10 most intense peaks (2θ from 15° to 90°), low angle first:
| 2θ (°) | I (rel.) | (hkl) |
| --- | --- | --- |
| 15.07 | 32 | 1 1 0 |
| 15.48 | 24 | 0 0 1 |
| 21.67 | 100 | 1 1 1 |
| 30.41 | 43 | 2 2 0 |
| 34.29 | 14 | 2 2 1 |
| 37.65 | 48 | 3 1 1 |
| 38.18 | 44 | 2 0 2 |
| 43.54 | 16 | 4 0 0 |
| 58.89 | 13 | 5 1 1 |
| 59.27 | 24 | 4 2 2 |

Atomic structure:
```
data_KTl2I4
_chemical_formula_sum 'K1 Tl2 I4'
_space_group_name_H-M_alt 'P -4 2 m'
_space_group_IT_number 111
_cell_length_a 8.314
_cell_length_b 8.314
_cell_length_c 5.724
_cell_angle_alpha 90.00
_cell_angle_beta 90.00
_cell_angle_gamma 90.00
loop_
_space_group_symop_operation_xyz
'x,y,z'
'y,-x,-z'
'-x,-y,z'
'-y,x,-z'
'x,-y,-z'
'y,x,z'
'-x,y,-z'
'-y,-x,z'
loop_
_atom_site_label
_atom_site_fract_x
_atom_site_fract_y
_atom_site_fract_z
_atom_site_occupancy
K1 0.000 0.000 0.000 1
Tl1 0.000 0.500 0.500 1
I1 0.258 0.258 0.278 1
```

# K5TlI8
Simulated PXRD pattern, a wavelength of 1.5418 Å. Input: a crystal structure in Alexandria, relaxed with GGA-PBE.

The 10 most intense peaks (2θ from 15° to 90°), low angle first:
| 2θ (°) | I (rel.) | (hkl) |
| --- | --- | --- |
| 22.75 | 77 | 2 0 2 |
| 24.65 | 100 | 1 0 3 |
| 26.28 | 71 | 3 0 1 |
| 26.47 | 67 | 3 1 0 |
| 29.90 | 35 | 1 2 3 |
| 30.76 | 45 | 1 3 2 |
| 37.79 | 25 | 2 4 0 |
| 42.17 | 34 | 1 4 3 |
| 43.20 | 33 | 4 3 1 |
| 43.65 | 29 | 1 2 5 |

Atomic structure:
```
data_K5TlI8
_chemical_formula_sum 'K10 Tl2 I16'
_space_group_name_H-M_alt 'I -4'
_space_group_IT_number 82
_cell_length_a 10.647
_cell_length_b 10.647
_cell_length_c 11.518
_cell_angle_alpha 90.00
_cell_angle_beta 90.00
_cell_angle_gamma 90.00
loop_
_space_group_symop_operation_xyz
'x,y,z'
'y,-x,-z'
'-x,-y,z'
'-y,x,-z'
'x+1/2,y+1/2,z+1/2'
'y+1/2,-x+1/2,-z+1/2'
'-x+1/2,-y+1/2,z+1/2'
'-y+1/2,x+1/2,-z+1/2'
loop_
_atom_site_label
_atom_site_fract_x
_atom_site_fract_y
_atom_site_fract_z
_atom_site_occupancy
K1 0.000 0.000 0.000 1
K2 0.136 0.718 0.619 1
Tl1 0.000 0.500 0.250 1
I1 0.038 0.762 0.315 1
I2 0.092 0.696 0.924 1
```

# KTlI3
Simulated PXRD pattern, a wavelength of 1.5418 Å. Input: a crystal structure in Alexandria, relaxed with GGA-PBE.

The 10 most intense peaks (2θ from 15° to 90°), low angle first:
| 2θ (°) | I (rel.) | (hkl) |
| --- | --- | --- |
| 20.02 | 37 | 1 0 1 |
| 25.33 | 100 | 1 0 -2 |
| 25.76 | 23 | 1 1 2 |
| 29.22 | 42 | 0 3 0 |
| 34.37 | 15 | 1 -2 2 |
| 35.22 | 11 | 0 1 4 |
| 35.96 | 50 | -1 3 2 |
| 36.28 | 25 | 2 0 0 |
| 41.94 | 19 | 1 3 -2 |
| 47.24 | 21 | 2 3 0 |

Atomic structure:
```
data_KTlI3
_chemical_formula_sum 'K2 Tl2 I6'
_space_group_name_H-M_alt 'P -1'
_space_group_IT_number 2
_cell_length_a 4.952
_cell_length_b 9.380
_cell_length_c 10.214
_cell_angle_alpha 77.85
_cell_angle_beta 89.97
_cell_angle_gamma 89.99
loop_
_space_group_symop_operation_xyz
'x,y,z'
'-x,-y,-z'
loop_
_atom_site_label
_atom_site_fract_x
_atom_site_fract_y
_atom_site_fract_z
_atom_site_occupancy
K1 0.249 0.237 0.344 1
Tl1 0.249 0.179 0.825 1
I1 0.250 0.505 0.827 1
I2 0.250 0.834 0.394 1
I3 0.250 0.835 0.899 1
```

# K2Tl2I7
Simulated PXRD pattern, a wavelength of 1.5418 Å. Input: a crystal structure in Alexandria, relaxed with GGA-PBE.

The 10 most intense peaks (2θ from 15° to 90°), low angle first:
| 2θ (°) | I (rel.) | (hkl) |
| --- | --- | --- |
| 17.44 | 100 | 1 1 1 |
| 19.24 | 48 | 1 3 0 |
| 20.63 | 21 | 1 3 -1 |
| 21.11 | 16 | 1 0 -2 |
| 23.29 | 41 | 1 2 -2 |
| 29.82 | 25 | 1 5 1 |
| 33.82 | 16 | 2 0 2 |
| 35.31 | 21 | 2 5 0 |
| 35.61 | 26 | 2 5 -1 |
| 42.74 | 15 | 3 3 -2 |

Atomic structure:
```
data_K2Tl2I7
_chemical_formula_sum 'K4 Tl4 I14'
_space_group_name_H-M_alt 'P 1 21/c 1'
_space_group_IT_number 14
_cell_length_a 7.209
_cell_length_b 18.148
_cell_length_c 9.459
_cell_angle_alpha 90.00
_cell_angle_beta 98.58
_cell_angle_gamma 90.00
loop_
_space_group_symop_operation_xyz
'x,y,z'
'-x,-y,-z'
'-x,y+1/2,-z+1/2'
'x,-y+1/2,z+1/2'
loop_
_atom_site_label
_atom_site_fract_x
_atom_site_fract_y
_atom_site_fract_z
_atom_site_occupancy
K1 0.142 0.144 0.408 1
Tl1 0.324 0.619 0.654 1
I1 0.006 0.682 0.463 1
I2 0.187 0.550 0.901 1
I3 0.406 0.230 0.712 1
I4 0.500 0.000 0.000 1
```

# KTl5I7
Simulated PXRD pattern, a wavelength of 1.5418 Å. Input: a crystal structure in Alexandria, relaxed with GGA-PBE.

The 10 most intense peaks (2θ from 15° to 90°), low angle first:
| 2θ (°) | I (rel.) | (hkl) |
| --- | --- | --- |
| 24.16 | 48 | 2 0 7 |
| 24.70 | 53 | 3 1 1 |
| 25.27 | 100 | 3 1 2 |
| 26.21 | 78 | 3 1 -3 |
| 26.98 | 53 | 2 0 8 |
| 33.71 | 43 | 1 1 9 |
| 36.44 | 95 | 0 2 0 |
| 36.72 | 48 | 5 1 5 |
| 38.19 | 36 | 5 1 -6 |
| 45.95 | 37 | 2 2 8 |

Atomic structure:
```
data_KTl5I7
_chemical_formula_sum 'K4 Tl20 I28'
_space_group_name_H-M_alt 'C 1 m 1'
_space_group_IT_number 8
_cell_length_a 16.138
_cell_length_b 4.927
_cell_length_c 28.981
_cell_angle_alpha 90.00
_cell_angle_beta 90.04
_cell_angle_gamma 90.00
loop_
_space_group_symop_operation_xyz
'x,y,z'
'x,-y,z'
'x+1/2,y+1/2,z'
'x+1/2,-y+1/2,z'
loop_
_atom_site_label
_atom_site_fract_x
_atom_site_fract_y
_atom_site_fract_z
_atom_site_occupancy
K1 0.000 0.000 0.000 1
K2 0.117 0.500 0.500 1
Tl1 0.029 0.500 0.173 1
Tl2 0.029 0.500 0.827 1
Tl3 0.088 0.000 0.327 1
Tl4 0.088 0.000 0.673 1
Tl5 0.257 0.000 0.102 1
Tl6 0.257 0.000 0.898 1
Tl7 0.308 0.500 0.250 1
Tl8 0.308 0.500 0.750 1
Tl9 0.360 0.000 0.398 1
Tl10 0.360 0.000 0.602 1
I1 0.118 0.500 0.070 1
I2 0.119 0.500 0.930 1
I3 0.168 0.000 0.214 1
I4 0.168 0.000 0.786 1
I5 0.221 0.500 0.362 1
I6 0.221 0.500 0.638 1
I7 0.277 0.000 0.500 1
I8 0.340 0.000 0.000 1
I9 0.395 0.500 0.138 1
I10 0.395 0.500 0.861 1
I11 0.449 0.000 0.287 1
I12 0.449 0.000 0.713 1
I13 0.498 0.500 0.430 1
I14 0.498 0.500 0.570 1
```

# K3Tl3VI8
Simulated PXRD pattern, a wavelength of 1.5418 Å. Input: a crystal structure in Alexandria, relaxed with GGA-PBE.

The 10 most intense peaks (2θ from 15° to 90°), low angle first:
| 2θ (°) | I (rel.) | (hkl) |
| --- | --- | --- |
| 20.94 | 17 | 0 2 1 |
| 25.33 | 100 | 0 2 4 |
| 27.65 | 16 | 2 0 5 |
| 33.10 | 27 | 0 0 9 |
| 36.13 | 66 | 2 0 8 |
| 44.64 | 20 | 0 0 12 |
| 46.08 | 15 | 3 2 1 |
| 49.81 | 13 | 2 2 9 |
| 58.72 | 22 | 2 2 12 |
| 60.32 | 12 | 3 3 6 |

Atomic structure:
```
data_K3Tl3VI8
_chemical_formula_sum 'K9 Tl9 V3 I24'
_space_group_name_H-M_alt 'R -3 m'
_space_group_IT_number 166
_space_group_name_Hall '-R 3 2"'
_cell_length_a 9.9504
_cell_length_b 9.9504
_cell_length_c 24.3315
_cell_angle_alpha 90.00
_cell_angle_beta 90.00
_cell_angle_gamma 120.00
loop_
_atom_site_label
_atom_site_fract_x
_atom_site_fract_y
_atom_site_fract_z
_atom_site_occupancy
K1 0.0000 0.5000 0.0000 1
Tl1 0.0000 0.5000 0.5000 1
V1 0.0000 0.0000 0.0000 1
I1 0.0000 0.0000 0.2506 1
I2 0.0584 0.5292 0.7359 1
```

# K5Tm3I12
Simulated PXRD pattern, a wavelength of 1.5418 Å. Input: a crystal structure in Alexandria, relaxed with GGA-PBE.

The 10 most intense peaks (2θ from 15° to 90°), low angle first:
| 2θ (°) | I (rel.) | (hkl) |
| --- | --- | --- |
| 24.24 | 39 | 2 0 1 |
| 25.17 | 53 | 3 1 0 |
| 27.15 | 100 | 2 1 1 |
| 27.98 | 33 | 4 0 0 |
| 31.43 | 68 | 2 2 1 |
| 36.62 | 26 | 3 3 0 |
| 38.04 | 37 | 4 1 1 |
| 40.19 | 26 | 0 0 2 |
| 41.95 | 53 | 3 3 1 |
| 42.55 | 21 | 6 0 0 |

Atomic structure:
```
data_K5Tm3I12
_chemical_formula_sum 'K5 Tm3 I12'
_space_group_name_H-M_alt 'P -6 2 m'
_space_group_IT_number 189
_space_group_name_Hall 'P -6 -2'
_cell_length_a 14.7287
_cell_length_b 14.7287
_cell_length_c 4.4874
_cell_angle_alpha 90.00
_cell_angle_beta 90.00
_cell_angle_gamma 120.00
loop_
_atom_site_label
_atom_site_fract_x
_atom_site_fract_y
_atom_site_fract_z
_atom_site_occupancy
K1 0.0000 0.7178 0.0000 1
K2 0.3333 0.6667 0.0000 1
Tm1 0.0000 0.3252 0.5000 1
I1 0.0000 0.1806 0.0000 1
I2 0.0000 0.4662 0.0000 1
I3 0.2055 0.7617 0.5000 1
```

# K2TmI6
Simulated PXRD pattern, a wavelength of 1.5418 Å. Input: a crystal structure in Alexandria, relaxed with GGA-PBE.

The 10 most intense peaks (2θ from 15° to 90°), low angle first:
| 2θ (°) | I (rel.) | (hkl) |
| --- | --- | --- |
| 24.78 | 42 | 0 5 1 |
| 26.28 | 52 | 0 4 2 |
| 27.81 | 97 | 1 3 1 |
| 28.62 | 59 | 0 1 3 |
| 28.88 | 83 | 1 4 0 |
| 30.62 | 100 | 1 2 2 |
| 33.50 | 43 | 1 5 1 |
| 36.49 | 33 | 1 1 3 |
| 40.68 | 33 | 1 7 1 |
| 43.26 | 32 | 1 5 3 |

Atomic structure:
```
data_K2TmI6
_chemical_formula_sum 'K4 Tm2 I12'
_space_group_name_H-M_alt 'A m m 2'
_space_group_IT_number 38
_cell_length_a 4.010
_cell_length_b 19.414
_cell_length_c 9.481
_cell_angle_alpha 90.00
_cell_angle_beta 90.00
_cell_angle_gamma 90.00
loop_
_space_group_symop_operation_xyz
'x,y,z'
'-x,-y,z'
'-x,y,z'
'x,-y,z'
'x,y+1/2,z+1/2'
'-x,-y+1/2,z+1/2'
'-x,y+1/2,z+1/2'
'x,-y+1/2,z+1/2'
loop_
_atom_site_label
_atom_site_fract_x
_atom_site_fract_y
_atom_site_fract_z
_atom_site_occupancy
K1 0.000 0.159 0.000 1
Tm1 0.500 0.000 0.456 1
I1 0.000 0.000 0.706 1
I2 0.000 0.111 0.378 1
I3 0.500 0.000 0.101 1
I4 0.500 0.219 0.710 1
```